1.
Starting from DFT lattice parameters and positions (PBE), the powder diffractogram of LiTi2O4 was calculated for a wavelength of 1.5418 Å.
Lines closer than 0.1° are merged.

Structural model:
Cell: 3.823 4.077 9.191 Å, 90.00 90.00 90.00°
Space group Imm2 (No. 44)
Inequivalent atoms, fractional coordinates:
1 Li 0.000 0.000 0.000 [2 per cell]
2 Ti 0.000 0.000 0.571 [2 per cell]
3 Ti 0.000 0.500 0.791 [2 per cell]
4 O 0.000 0.000 0.335 [2 per cell]
5 O 0.000 0.000 0.784 [2 per cell]
6 O 0.000 0.500 0.024 [2 per cell]
7 O 0.000 0.500 0.575 [2 per cell]

Main lines, low angle first (10° ≤ 2θ ≤ 90°):
| 2θ/deg | intensity |
| --- | --- |
| 23.88 | 74 |
| 25.23 | 100 |
| 36.69 | 21 |
| 39.21 | 46 |
| 44.44 | 42 |
| 47.58 | 33 |
| 51.79 | 23 |
| 55.47 | 25 |
| 60.74 | 20 |
| 67.14 | 19 |

2.
Starting from DFT lattice parameters and positions (PBE), the powder diffractogram of Pm2CuNi4As3 was calculated for a wavelength of 1.5418 Å.
Lines closer than 0.1° are merged.

Structural model:
Cell: 4.126 4.126 9.544 Å, 90.00 90.00 90.00°
Space group P-4m2 (No. 115)
Inequivalent atoms, fractional coordinates:
1 Pm 0.000 0.500 0.249 [2 per cell]
2 Cu 0.000 0.000 0.500 [1 per cell]
3 Ni 0.000 0.000 0.000 [1 per cell]
4 Ni 0.000 0.500 0.622 [2 per cell]
5 Ni 0.500 0.500 0.000 [1 per cell]
6 As 0.000 0.500 0.867 [2 per cell]
7 As 0.500 0.500 0.500 [1 per cell]

Main lines, low angle first (10° ≤ 2θ ≤ 90°):
| 2θ/deg | intensity |
| --- | --- |
| 30.65 | 21 |
| 35.64 | 72 |
| 36.09 | 100 |
| 43.89 | 62 |
| 52.85 | 26 |
| 57.77 | 35 |
| 63.81 | 20 |
| 67.01 | 14 |
| 71.06 | 21 |
| 75.56 | 22 |

3.
Starting from DFT lattice parameters and positions (PBE), the powder diffractogram of YHo4Tm5 was calculated for a wavelength of 1.5418 Å.
Lines closer than 0.1° are merged.

Structural model:
Cell: 5.371 6.964 8.672 Å, 90.02 107.99 90.00°
Space group P1 (No. 1)
Inequivalent atoms, fractional coordinates:
1 Y 0.000 0.000 0.000 [1 per cell]
2 Ho 0.199 0.502 0.399 [1 per cell]
3 Ho 0.390 0.253 0.779 [1 per cell]
4 Ho 0.611 0.252 0.221 [1 per cell]
5 Ho 0.800 0.001 0.600 [1 per cell]
6 Tm 0.000 0.502 0.000 [1 per cell]
7 Tm 0.200 0.000 0.400 [1 per cell]
8 Tm 0.389 0.750 0.779 [1 per cell]
9 Tm 0.611 0.750 0.221 [1 per cell]
10 Tm 0.801 0.502 0.602 [1 per cell]

Main lines, low angle first (10° ≤ 2θ ≤ 90°):
| 2θ/deg | intensity |
| --- | --- |
| 31.09 | 84 |
| 31.83 | 100 |
| 33.36 | 46 |
| 33.69 | 41 |
| 34.77 | 24 |
| 41.86 | 16 |
| 48.14 | 31 |
| 58.67 | 18 |
| 59.54 | 17 |
| 62.78 | 36 |

4.
Starting from DFT lattice parameters and positions (PBE), the powder diffractogram of InBiSeS was calculated for a wavelength of 1.5418 Å.
Lines closer than 0.1° are merged.

Structural model:
Cell: 6.770 3.910 9.155 Å, 90.00 104.45 90.00°
Space group Cm (No. 8)
Inequivalent atoms, fractional coordinates:
1 In 0.000 0.000 0.000 [2 per cell]
2 Bi 0.271 0.500 0.304 [2 per cell]
3 Se 0.171 0.000 0.501 [2 per cell]
4 S 0.119 0.500 0.859 [2 per cell]

Main lines, low angle first (10° ≤ 2θ ≤ 90°):
| 2θ/deg | intensity |
| --- | --- |
| 20.03 | 20 |
| 26.54 | 54 |
| 27.18 | 19 |
| 29.61 | 45 |
| 31.32 | 100 |
| 35.52 | 31 |
| 37.93 | 46 |
| 46.46 | 46 |
| 52.28 | 18 |
| 57.10 | 18 |

5.
Starting from DFT lattice parameters and positions (PBE), the powder diffractogram of Ho4GePd was calculated for a wavelength of 1.5418 Å.
Lines closer than 0.1° are merged.

Structural model:
Cell: 5.179 20.387 6.217 Å, 90.00 90.00 90.00°
Space group Cmc2_1 (No. 36)
Inequivalent atoms, fractional coordinates:
1 Ho 0.000 0.055 0.000 [4 per cell]
2 Ho 0.000 0.199 0.252 [4 per cell]
3 Ho 0.000 0.204 0.764 [4 per cell]
4 Ho 0.000 0.385 0.016 [4 per cell]
5 Ge 0.000 0.340 0.508 [4 per cell]
6 Pd 0.000 0.079 0.505 [4 per cell]

Main lines, low angle first (10° ≤ 2θ ≤ 90°):
| 2θ/deg | intensity |
| --- | --- |
| 17.67 | 38 |
| 27.85 | 42 |
| 30.03 | 83 |
| 33.77 | 25 |
| 34.64 | 75 |
| 35.36 | 75 |
| 36.20 | 100 |
| 40.43 | 27 |
| 46.49 | 50 |
| 49.17 | 23 |

6.
Starting from DFT lattice parameters and positions (PBE), the powder diffractogram of Li9Mg2Zn was calculated for a wavelength of 1.5418 Å.
Lines closer than 0.1° are merged.

Structural model:
Cell: 8.012 5.420 11.418 Å, 90.00 97.25 90.00°
Space group C2/m (No. 12)
Inequivalent atoms, fractional coordinates:
1 Li 0.000 0.000 0.000 [2 per cell]
2 Li 0.060 0.242 0.300 [8 per cell]
3 Li 0.171 0.500 0.538 [4 per cell]
4 Li 0.190 0.500 0.840 [4 per cell]
5 Mg 0.174 0.500 0.090 [4 per cell]
6 Zn 0.000 0.000 0.500 [2 per cell]

Main lines, low angle first (10° ≤ 2θ ≤ 90°):
| 2θ/deg | intensity |
| --- | --- |
| 15.65 | 76 |
| 20.81 | 100 |
| 21.86 | 45 |
| 24.66 | 53 |
| 26.23 | 60 |
| 29.85 | 37 |
| 36.57 | 31 |
| 36.77 | 35 |
| 37.80 | 50 |
| 38.82 | 41 |

7.
Starting from DFT lattice parameters and positions (PBE), the powder diffractogram of MgPaBe17 was calculated for a wavelength of 1.5418 Å.
Lines closer than 0.1° are merged.

Structural model:
Cell: 7.6808 7.6808 11.1214 Å, 90.00 90.00 120.00°
Space group R3m (No. 160, hexagonal axes)
Inequivalent atoms, fractional coordinates:
1 Mg 0.0000 0.0000 0.0000 [3 per cell]
2 Pa 0.0000 0.0000 0.6871 [3 per cell]
3 Be 0.0000 0.0000 0.2460 [3 per cell]
4 Be 0.0000 0.0000 0.4394 [3 per cell]
5 Be 0.0031 0.5016 0.1841 [9 per cell]
6 Be 0.0524 0.3828 0.0082 [18 per cell]
7 Be 0.1700 0.3401 0.1781 [9 per cell]
8 Be 0.1713 0.3426 0.8337 [9 per cell]

Main lines, low angle first (10° ≤ 2θ ≤ 90°):
| 2θ/deg | intensity |
| --- | --- |
| 15.52 | 100 |
| 20.82 | 52 |
| 23.16 | 50 |
| 28.00 | 29 |
| 31.34 | 20 |
| 33.60 | 48 |
| 34.98 | 18 |
| 36.65 | 29 |
| 39.33 | 23 |
| 47.80 | 24 |

8.
Starting from DFT lattice parameters and positions (PBE), the powder diffractogram of Pm3PaSb4 was calculated for a wavelength of 1.5418 Å.
Lines closer than 0.1° are merged.

Structural model:
Cell: 6.297 6.297 12.603 Å, 90.00 90.00 90.00°
Space group I4/mmm (No. 139)
Inequivalent atoms, fractional coordinates:
1 Pm 0.000 0.000 0.000 [2 per cell]
2 Pm 0.000 0.500 0.250 [4 per cell]
3 Pa 0.000 0.000 0.500 [2 per cell]
4 Sb 0.000 0.000 0.256 [4 per cell]
5 Sb 0.000 0.500 0.000 [4 per cell]

Main lines, low angle first (10° ≤ 2θ ≤ 90°):
| 2θ/deg | intensity |
| --- | --- |
| 15.73 | 3 |
| 24.48 | 5 |
| 28.34 | 100 |
| 40.51 | 77 |
| 47.90 | 3 |
| 50.17 | 27 |
| 58.63 | 13 |
| 66.37 | 35 |
| 73.68 | 26 |
| 87.64 | 9 |

9.
Starting from DFT lattice parameters and positions (PBE), the powder diffractogram of PuInGaHg was calculated for a wavelength of 1.5418 Å.
Lines closer than 0.1° are merged.

Structural model:
Cell: 7.218 7.218 7.218 Å, 90.00 90.00 90.00°
Space group F-43m (No. 216)
Inequivalent atoms, fractional coordinates:
1 Pu 0.000 0.000 0.000 [4 per cell]
2 In 0.000 0.000 0.500 [4 per cell]
3 Ga 0.250 0.250 0.250 [4 per cell]
4 Hg 0.250 0.250 0.750 [4 per cell]

Main lines, low angle first (10° ≤ 2θ ≤ 90°):
| 2θ/deg | intensity |
| --- | --- |
| 21.32 | 17 |
| 35.17 | 100 |
| 41.49 | 10 |
| 50.58 | 18 |
| 55.49 | 4 |
| 63.10 | 37 |
| 67.42 | 3 |
| 74.34 | 12 |
| 78.38 | 4 |
| 84.99 | 17 |

10.
Starting from DFT lattice parameters and positions (PBE), the powder diffractogram of Ca2SiO4 was calculated for a wavelength of 1.5418 Å.
Lines closer than 0.1° are merged.

Structural model:
Cell: 5.773 8.297 9.217 Å, 90.00 118.23 90.00°
Space group P2_1/c (No. 14)
Inequivalent atoms, fractional coordinates:
1 Ca 0.082 0.158 0.373 [4 per cell]
2 Ca 0.353 0.012 0.137 [4 per cell]
3 Si 0.259 0.695 0.963 [4 per cell]
4 O 0.017 0.679 0.435 [4 per cell]
5 O 0.171 0.603 0.788 [4 per cell]
6 O 0.288 0.563 0.105 [4 per cell]
7 O 0.474 0.193 0.977 [4 per cell]

Main lines, low angle first (10° ≤ 2θ ≤ 90°):
| 2θ/deg | intensity |
| --- | --- |
| 26.93 | 100 |
| 27.75 | 30 |
| 29.85 | 85 |
| 30.81 | 34 |
| 31.10 | 31 |
| 31.46 | 53 |
| 34.24 | 28 |
| 38.40 | 37 |
| 40.72 | 42 |
| 45.79 | 46 |

11.
Starting from DFT lattice parameters and positions (PBE), the powder diffractogram of CdH8C2Br3N was calculated for a wavelength of 1.5418 Å.
Lines closer than 0.1° are merged.

Structural model:
Cell: 9.713 13.829 7.140 Å, 90.00 102.08 90.00°
Space group P2_1/c (No. 14)
Inequivalent atoms, fractional coordinates:
1 Cd 0.206 0.248 0.487 [4 per cell]
2 H 0.126 0.548 0.890 [4 per cell]
3 H 0.158 0.560 0.564 [4 per cell]
4 H 0.175 0.667 0.831 [4 per cell]
5 H 0.272 0.019 0.193 [4 per cell]
6 H 0.305 0.588 0.969 [4 per cell]
7 H 0.341 0.683 0.602 [4 per cell]
8 H 0.382 0.576 0.482 [4 per cell]
9 H 0.461 0.596 0.730 [4 per cell]
10 C 0.211 0.592 0.854 [4 per cell]
11 C 0.366 0.606 0.618 [4 per cell]
12 Br 0.006 0.162 0.169 [4 per cell]
13 Br 0.207 0.097 0.741 [4 per cell]
14 Br 0.404 0.162 0.298 [4 per cell]
15 N 0.246 0.554 0.675 [4 per cell]

Main lines, low angle first (10° ≤ 2θ ≤ 90°):
| 2θ/deg | intensity |
| --- | --- |
| 11.30 | 100 |
| 12.80 | 23 |
| 24.07 | 11 |
| 27.99 | 17 |
| 28.82 | 15 |
| 31.26 | 14 |
| 31.98 | 16 |
| 36.58 | 11 |
| 41.50 | 9 |
| 43.65 | 9 |

12.
Starting from DFT lattice parameters and positions (PBE), the powder diffractogram of SrNbCu was calculated for a wavelength of 1.5418 Å.
Lines closer than 0.1° are merged.

Structural model:
Cell: 4.454 8.120 7.773 Å, 90.00 90.00 90.00°
Space group Ima2 (No. 46)
Inequivalent atoms, fractional coordinates:
1 Sr 0.250 0.184 0.000 [4 per cell]
2 Nb 0.250 0.591 0.831 [4 per cell]
3 Cu 0.250 0.585 0.170 [4 per cell]

Main lines, low angle first (10° ≤ 2θ ≤ 90°):
| 2θ/deg | intensity |
| --- | --- |
| 15.78 | 17 |
| 31.95 | 100 |
| 32.50 | 64 |
| 36.40 | 45 |
| 38.94 | 44 |
| 40.51 | 34 |
| 52.60 | 14 |
| 55.58 | 25 |
| 61.67 | 29 |
| 67.90 | 10 |